# 1
This entry pairs a crystal structure of Ba2SmFeO6 with its computed X-ray powder pattern. Radiation: λ = 1.5418 Å (Cu Kα). Structure: DFT lattice parameters and positions (GGA+U).

Atomic structure:
Cell lengths 5.9522, 5.9522, 5.9522 Å; angles 60.00, 60.00, 60.00 degrees
Element x y z (fractional)
Ba1 0.2500 0.2500 0.2500
Ba2 0.7500 0.7500 0.7500
Sm1 0.0000 0.0000 0.0000
Fe1 0.5000 0.5000 0.5000
O1 0.2707 0.2707 0.7293
O2 0.2707 0.7293 0.2707
O3 0.2707 0.7293 0.7293
O4 0.7293 0.2707 0.2707
O5 0.7293 0.2707 0.7293
O6 0.7293 0.7293 0.2707

Most intense lines, 10 to 90 degrees two-theta, in order of rising 2θ:
d = 4.860 Å, 18.25 deg, intensity 6.4; d = 2.976 Å, 30.03 deg, intensity 100.0; d = 2.538 Å, 35.37 deg, intensity 5.9; d = 2.430 Å, 36.99 deg, intensity 4.4; d = 2.104 Å, 42.98 deg, intensity 30.3; d = 1.718 Å, 53.32 deg, intensity 39.4; d = 1.488 Å, 62.41 deg, intensity 18.5; d = 1.331 Å, 70.79 deg, intensity 17.9; d = 1.215 Å, 78.77 deg, intensity 6.1; d = 1.125 Å, 86.53 deg, intensity 21.3

# 2
This entry pairs a crystal structure of Ba2Sm2Fe4O11 with its computed X-ray powder pattern. Radiation: λ = 1.5418 Å (Cu Kα). Structure: DFT lattice parameters and positions (GGA+U).

Atomic structure:
Cell lengths 8.8522, 8.8522, 3.9416 Å; angles 90.00, 90.00, 125.89 degrees
Element x y z (fractional)
Ba1 0.0000 0.5000 0.0000
Ba2 0.5000 0.0000 0.0000
Sm1 0.2286 0.2286 0.0000
Sm2 0.7714 0.7714 0.0000
Fe1 0.1229 0.8771 0.5000
Fe2 0.3761 0.6239 0.5000
Fe3 0.6239 0.3761 0.5000
Fe4 0.8771 0.1229 0.5000
O1 0.0000 0.0000 0.5000
O2 0.1160 0.8840 0.0000
O3 0.1558 0.3617 0.5000
O4 0.2525 0.7475 0.5000
O5 0.3617 0.1558 0.5000
O6 0.4097 0.5903 0.0000
O7 0.5903 0.4097 0.0000
O8 0.6383 0.8442 0.5000
O9 0.7475 0.2525 0.5000
O10 0.8442 0.6383 0.5000
O11 0.8840 0.1160 0.0000

Most intense lines, 10 to 90 degrees two-theta, in order of rising 2θ:
d = 3.942 Å, 22.56 deg, intensity 15.5; d = 2.817 Å, 31.77 deg, intensity 100.0; d = 2.787 Å, 32.11 deg, intensity 52.9; d = 2.292 Å, 39.32 deg, intensity 23.9; d = 2.013 Å, 45.03 deg, intensity 15.4; d = 1.971 Å, 46.05 deg, intensity 29.2; d = 1.632 Å, 56.38 deg, intensity 18.7; d = 1.615 Å, 57.03 deg, intensity 41.1; d = 1.408 Å, 66.38 deg, intensity 16.5; d = 1.246 Å, 76.41 deg, intensity 8.5

# 3
This entry pairs a crystal structure of BaSmFeSnO6 with its computed X-ray powder pattern. Radiation: λ = 1.5418 Å (Cu Kα). Structure: DFT lattice parameters and positions (GGA+U).

Atomic structure:
Cell lengths 5.7355, 5.7355, 5.7355 Å; angles 60.00, 60.00, 60.00 degrees
Element x y z (fractional)
Ba1 0.0000 0.0000 0.0000
Sm1 0.5000 0.5000 0.5000
Fe1 0.7500 0.7500 0.7500
Sn1 0.2500 0.2500 0.2500
O1 0.5029 0.5029 0.9971
O2 0.5029 0.9971 0.5029
O3 0.5029 0.9971 0.9971
O4 0.9971 0.5029 0.5029
O5 0.9971 0.5029 0.9971
O6 0.9971 0.9971 0.5029

Most intense lines, 10 to 90 degrees two-theta, in order of rising 2θ:
d = 4.683 Å, 18.95 deg, intensity 4.5; d = 4.056 Å, 21.92 deg, intensity 2.7; d = 2.868 Å, 31.19 deg, intensity 100.0; d = 2.446 Å, 36.75 deg, intensity 3.1; d = 2.342 Å, 38.45 deg, intensity 8.0; d = 2.028 Å, 44.69 deg, intensity 31.0; d = 1.656 Å, 55.50 deg, intensity 40.1; d = 1.434 Å, 65.05 deg, intensity 19.1; d = 1.282 Å, 73.90 deg, intensity 17.6; d = 1.171 Å, 82.37 deg, intensity 6.5

# 4
This entry pairs a crystal structure of Ba3Fe8Sn3O20 with its computed X-ray powder pattern. Radiation: λ = 1.5418 Å (Cu Kα). Structure: DFT lattice parameters and positions (GGA+U).

Atomic structure:
Cell lengths 10.1951, 10.1951, 5.3660 Å; angles 103.00, 103.00, 72.74 degrees
Element x y z (fractional)
Ba1 0.0000 0.0000 0.0000
Ba2 0.2722 0.2722 0.2672
Ba3 0.7278 0.7278 0.7328
Fe1 0.0138 0.2824 0.6575
Fe2 0.1393 0.5781 0.8421
Fe3 0.2824 0.0138 0.6575
Fe4 0.4219 0.8607 0.1579
Fe5 0.5781 0.1393 0.8421
Fe6 0.7176 0.9862 0.3425
Fe7 0.8607 0.4219 0.1579
Fe8 0.9862 0.7176 0.3425
Sn1 0.3567 0.6433 0.5000
Sn2 0.5000 0.5000 0.0000
Sn3 0.6433 0.3567 0.5000
O1 0.0015 0.2870 0.0157
O2 0.1012 0.1012 0.5114
O3 0.1263 0.4036 0.6972
O4 0.1636 0.6714 0.5846
O5 0.2870 0.0015 0.0157
O6 0.3065 0.5458 0.1190
O7 0.3286 0.8364 0.4154
O8 0.4036 0.1263 0.6972
O9 0.4334 0.4334 0.6086
O10 0.4542 0.6935 0.8810
O11 0.5458 0.3065 0.1190
O12 0.5666 0.5666 0.3914
O13 0.5964 0.8737 0.3028
O14 0.6714 0.1636 0.5846
O15 0.6935 0.4542 0.8810
O16 0.7130 0.9985 0.9843
O17 0.8364 0.3286 0.4154
O18 0.8737 0.5964 0.3028
O19 0.8988 0.8988 0.4886
O20 0.9985 0.7130 0.9843

Most intense lines, 10 to 90 degrees two-theta, in order of rising 2θ:
d = 3.302 Å, 27.01 deg, intensity 84.6; d = 3.246 Å, 27.47 deg, intensity 72.1; d = 3.136 Å, 28.46 deg, intensity 100.0; d = 3.014 Å, 29.64 deg, intensity 60.7; d = 3.005 Å, 29.73 deg, intensity 51.3; d = 2.951 Å, 30.28 deg, intensity 43.7; d = 2.680 Å, 33.44 deg, intensity 79.4; d = 2.587 Å, 34.68 deg, intensity 46.0; d = 1.732 Å, 52.85 deg, intensity 46.1; d = 1.691 Å, 54.24 deg, intensity 35.8